1.
This entry pairs a crystal structure of Li2Ti3SbO8 with its theoretical XRD peak list. Radiation: Cu Kα. Structure: a cell relaxed with GGA-PBE.
Peak positions follow from Bragg's law for the DFT cell and can differ from measured ones.

a b c (Å): 5.9877 5.9877 10.5225
angles (deg): 90.00 90.00 120.00
Space group P6_3mc (No. 186)
Symmetry-distinct sites (fractional):
Li (0.0000, 0.0000, 0.0000) [2 per cell]
Li (0.3333, 0.6667, 0.3937) [2 per cell]
Ti (0.1711, 0.3423, 0.7254) [6 per cell]
Sb (0.3333, 0.6667, 0.0153) [2 per cell]
O (0.0000, 0.0000, 0.3187) [2 per cell]
O (0.0220, 0.5110, 0.8251) [6 per cell]
O (0.1551, 0.3102, 0.1124) [6 per cell]
O (0.3333, 0.6667, 0.6194) [2 per cell]

Largest 6 diffraction maxima, in order of rising 2θ, 10 to 90 degrees two-theta:
2θ/deg  I/Imax
19.08  100
24.10  29
30.78  58
34.47  61
35.66  30
56.30  37

2.
This entry pairs a crystal structure of KCeHgF6 with its theoretical XRD peak list. Radiation: Cu Kα. Structure: a cell relaxed with GGA-PBE.
Peak positions follow from Bragg's law for the DFT cell and can differ from measured ones.

a b c (Å): 6.5826 6.5826 9.7539
angles (deg): 90.00 90.00 120.00
Space group P-31c (No. 163)
Symmetry-distinct sites (fractional):
K (0.0000, 0.0000, 0.0000) [2 per cell]
Ce (0.3333, 0.6667, 0.2500) [2 per cell]
Hg (0.3333, 0.6667, 0.7500) [2 per cell]
F (0.0435, 0.3818, 0.1334) [12 per cell]

Largest 6 diffraction maxima, in order of rising 2θ, 10 to 90 degrees two-theta:
2θ/deg  I/Imax
15.54  57
18.19  67
24.01  100
27.09  86
32.82  100
46.34  70

3.
This entry pairs a crystal structure of Ce2Cd16Ag with its theoretical XRD peak list. Radiation: Cu Kα. Structure: a cell relaxed with GGA-PBE.
Peak positions follow from Bragg's law for the DFT cell and can differ from measured ones.

a b c (Å): 10.0563 10.0563 14.9928
angles (deg): 90.00 90.00 120.00
Space group R3m (No. 160, hexagonal axes)
Symmetry-distinct sites (fractional):
Ce (0.0000, 0.0000, 0.9998) [3 per cell]
Ce (0.0000, 0.0000, 0.3333) [3 per cell]
Cd (0.0000, 0.0000, 0.5625) [3 per cell]
Cd (0.0366, 0.3692, 0.3330) [18 per cell]
Cd (0.1690, 0.3380, 0.1445) [9 per cell]
Cd (0.1790, 0.3580, 0.5027) [9 per cell]
Cd (0.1819, 0.3638, 0.8501) [9 per cell]
Ag (0.0000, 0.0000, 0.7604) [3 per cell]

Largest 6 diffraction maxima, in order of rising 2θ, 10 to 90 degrees two-theta:
2θ/deg  I/Imax
30.80  22
31.50  18
35.75  100
35.94  21
36.36  25
40.15  35

4.
This entry pairs a crystal structure of Al2InIr3 with its theoretical XRD peak list. Radiation: Cu Kα. Structure: a cell relaxed with GGA-PBE.
Peak positions follow from Bragg's law for the DFT cell and can differ from measured ones.

a b c (Å): 2.998 2.998 9.969
angles (deg): 90.00 90.00 90.00
Space group P4/mmm (No. 123)
Symmetry-distinct sites (fractional):
Al (0.000, 0.000, 0.157) [2 per cell]
In (0.000, 0.000, 0.500) [1 per cell]
Ir (0.500, 0.500, 0.000) [1 per cell]
Ir (0.500, 0.500, 0.304) [2 per cell]

Largest 6 diffraction maxima, in order of rising 2θ, 10 to 90 degrees two-theta:
2θ/deg  I/Imax
26.83  18
29.81  38
40.53  100
42.66  51
61.91  17
76.65  31